# LiV4CuO12
Simulated powder X-ray diffraction pattern, a wavelength of 1.5418 Å. Input: a GGA+U-relaxed structure.
No peak broadening, texture or thermal motion is included.

Peak list (10 most intense, 10 to 80 degrees two-theta, by intensity)
- 28.4 deg, I 100.0
- 18.4 deg, I 59.9
- 30.3 deg, I 59.2
- 19.9 deg, I 54.7
- 32.3 deg, I 48.0
- 25.6 deg, I 44.7
- 18.9 deg, I 34.3
- 45.5 deg, I 25.0
- 35.3 deg, I 23.2
- 23.5 deg, I 22.6

Structural model:
```
data_LiV4CuO12
_symmetry_space_group_name_H-M 'P 1'
_symmetry_Int_Tables_number 1
_cell_length_a 6.710
_cell_length_b 6.710
_cell_length_c 5.923
_cell_angle_alpha 105.13
_cell_angle_beta 105.13
_cell_angle_gamma 83.35
loop_
_symmetry_equiv_pos_as_xyz
'x,y,z'
loop_
_atom_site_label
_atom_site_type_symbol
_atom_site_fract_x
_atom_site_fract_y
_atom_site_fract_z
Li1 Li 0.000 0.000 0.000
V1 V 0.110 0.470 0.993
V2 V 0.300 0.296 0.508
V3 V 0.530 0.890 0.007
V4 V 0.704 0.700 0.492
Cu1 Cu 0.828 0.172 0.500
O1 O 0.114 0.119 0.426
O2 O 0.246 0.455 0.297
O3 O 0.286 0.447 0.802
O4 O 0.302 0.014 0.999
O5 O 0.539 0.174 0.528
O6 O 0.545 0.754 0.703
O7 O 0.553 0.714 0.198
O8 O 0.728 0.057 0.146
O9 O 0.826 0.461 0.472
O10 O 0.881 0.886 0.574
O11 O 0.943 0.272 0.854
O12 O 0.986 0.698 0.001
```